Record 1
Starting from a structure optimized by DFT (GGA-PBE), the powder diffraction line list of Ce3SnO8 was simulated for λ = 1.5418 Å (Cu Kα).

Structural model:
```
Ce3SnO8
1.0
1.9073 1.1012 12.4667
-1.9073 1.1012 12.4667
0.0000 -2.2023 12.4667
Ce Sn O
3 1 8
Direct
0.0000 0.0000 0.0000
0.2476 0.2476 0.2476
0.7524 0.7524 0.7524
0.5000 0.5000 0.5000
0.0644 0.0644 0.0644
0.1842 0.1842 0.1842
0.3119 0.3119 0.3119
0.4417 0.4417 0.4417
0.5583 0.5583 0.5583
0.6881 0.6881 0.6881
0.8158 0.8158 0.8158
0.9356 0.9356 0.9356
```

Peak list (8 most intense, 10° ≤ 2θ ≤ 90°, by intensity)
two_theta, intensity
28.66, 100
47.67, 55
56.57, 44
33.21, 29
77.04, 18
88.85, 17
79.43, 11
59.33, 8

Record 2
Starting from a structure optimized by DFT (GGA-PBE), the powder diffraction line list of Ce4SnO10 was simulated for λ = 1.5418 Å (Cu Kα).

Structural model:
```
Ce4SnO10
1.0
1.9127 1.1043 15.6117
-1.9127 1.1043 15.6117
0.0000 -2.2086 15.6117
Ce Sn O
4 1 10
Direct
0.1023 0.1023 0.1023
0.2993 0.2993 0.2993
0.7007 0.7007 0.7007
0.8977 0.8977 0.8977
0.5000 0.5000 0.5000
0.0511 0.0511 0.0511
0.1528 0.1528 0.1528
0.2480 0.2480 0.2480
0.3503 0.3503 0.3503
0.4537 0.4537 0.4537
0.5463 0.5463 0.5463
0.6497 0.6497 0.6497
0.7520 0.7520 0.7520
0.8472 0.8472 0.8472
0.9489 0.9489 0.9489
```

Peak list (8 most intense, 10° ≤ 2θ ≤ 90°, by intensity)
two_theta, intensity
28.58, 100
47.54, 54
56.42, 44
33.12, 29
76.81, 18
88.56, 17
79.19, 11
59.17, 8

Record 3
Starting from a structure optimized by DFT (GGA-PBE), the powder diffraction line list of Ce4SnO10 was simulated for λ = 1.5418 Å (Cu Kα).

Structural model:
```
Ce4SnO10
1.0
-1.9099 2.7049 9.5875
1.9099 -2.7049 9.5875
1.9099 2.7049 -9.5875
Ce Sn O
4 1 10
Direct
0.0980 0.0980 0.0000
0.3014 0.3014 0.0000
0.6986 0.6986 0.0000
0.9020 0.9020 0.0000
0.5000 0.5000 0.0000
0.0501 0.8009 0.2492
0.1616 0.4049 0.7567
0.2650 0.0000 0.2650
0.3517 0.5950 0.7567
0.4482 0.1991 0.2492
0.5518 0.8009 0.7508
0.6483 0.4049 0.2433
0.7350 0.0000 0.7350
0.8384 0.5950 0.2433
0.9499 0.1991 0.7508
```

Peak list (8 most intense, 10° ≤ 2θ ≤ 90°, by intensity)
two_theta, intensity
28.57, 100
47.54, 46
33.11, 29
56.44, 22
56.34, 22
47.41, 9
76.86, 9
88.63, 9

Record 4
Starting from a structure optimized by DFT (GGA-PBE), the powder diffraction line list of Tb2Ce4Sn3O2 was simulated for λ = 1.5418 Å (Cu Kα).

Structural model:
```
Tb2Ce4Sn3O2
1.0
-2.3581 2.3581 12.8785
2.3581 -2.3581 12.8785
2.3581 2.3581 -12.8785
Tb Ce Sn O
2 4 3 2
Direct
0.1967 0.1967 0.0000
0.8033 0.8033 0.0000
0.0849 0.5849 0.5000
0.4151 0.9151 0.5000
0.5849 0.0849 0.5000
0.9151 0.4151 0.5000
0.3206 0.3206 0.0000
0.5000 0.5000 0.0000
0.6794 0.6794 0.0000
0.1045 0.1045 0.0000
0.8955 0.8955 0.0000
```

Peak list (8 most intense, 10° ≤ 2θ ≤ 90°, by intensity)
two_theta, intensity
34.04, 100
27.65, 65
38.16, 59
66.35, 30
30.18, 23
52.62, 21
55.08, 20
34.83, 17